[1]
This entry pairs a crystal structure of Pm3Zr with its theoretical powder diffractogram. Radiation: Cu Ka. Structure: a cell relaxed with PBE.
Neutral-atom scattering factors, no anomalous dispersion.

Structural model:
a = 3.5194 Å, b = 5.7040 Å, c = 6.1940 Å
α = 90.00°, β = 90.00°, γ = 90.00°
Sites, in units of the cell vectors:
1 Pm 0.0000 0.0000 0.0000
2 Pm 0.0000 0.5000 0.3307
3 Pm 0.5000 0.5000 0.8066
4 Zr 0.5000 0.0000 0.5009

Peak list (6 most intense, 15 to 90 degrees two-theta, low angle first)
Position (°2θ)  Rel. int.
29.18  296
31.37  411
32.91  592
33.23  1000
57.03  212
61.38  228

=====

[2]
This entry pairs a crystal structure of PmZr with its theoretical powder diffractogram. Radiation: Cu Ka. Structure: a cell relaxed with PBE.
Neutral-atom scattering factors, no anomalous dispersion.

Structural model:
a = 3.3625 Å, b = 5.4766 Å, c = 6.0900 Å
α = 90.00°, β = 90.00°, γ = 90.00°
Sites, in units of the cell vectors:
1 Pm 0.2500 0.2500 0.1018
2 Pm 0.7500 0.7500 0.8982
3 Zr 0.2500 0.7500 0.4283
4 Zr 0.7500 0.2500 0.5717

Peak list (6 most intense, 15 to 90 degrees two-theta, low angle first)
Position (°2θ)  Rel. int.
30.37  287
32.70  412
33.68  604
34.59  1000
59.59  204
63.40  279

=====

[3]
This entry pairs a crystal structure of Pm3Zr with its theoretical powder diffractogram. Radiation: Cu Ka. Structure: a cell relaxed with PBE.
Neutral-atom scattering factors, no anomalous dispersion.

Structural model:
a = 6.0674 Å, b = 6.0674 Å, c = 6.0674 Å
α = 131.43°, β = 131.43°, γ = 71.14°
Sites, in units of the cell vectors:
1 Pm 0.0000 0.0000 0.0000
2 Pm 0.2500 0.7500 0.5000
3 Pm 0.7500 0.2500 0.5000
4 Zr 0.5000 0.5000 0.0000

Peak list (6 most intense, 15 to 90 degrees two-theta, low angle first)
Position (°2θ)  Rel. int.
31.15  1000
35.99  339
36.41  164
52.12  234
61.70  281
62.26  137

=====

What is the formula in the third record?
Pm3Zr